For LuBeTcW, a structure optimized by DFT (PBE) gives the calculated powder XRD pattern in this record (a wavelength of 1.5418 Å).
Kinematic intensities with the Lorentz-polarization factor, no thermal factor.

Main lines, in order of rising 2θ (5 to 70 degrees two-theta):
| d/Å | Position (°2θ) | I (rel.) |
| --- | --- | --- |
| 3.663 | 24.3 | 11 |
| 3.172 | 28.1 | 37 |
| 2.243 | 40.2 | 100 |
| 1.913 | 47.5 | 5 |
| 1.831 | 49.8 | 11 |
| 1.586 | 58.2 | 17 |
| 1.455 | 64.0 | 2 |
| 1.419 | 65.8 | 14 |

Structural model:
a = 4.486 Å, b = 4.486 Å, c = 4.486 Å
α = 60.00°, β = 60.00°, γ = 60.00°
Positions (direct):
Lu  0.000  0.000  0.000
Be  0.750  0.750  0.750
Tc  0.250  0.250  0.250
W  0.500  0.500  0.500